1.
# Te4AsPd
Computed X-ray powder pattern, λ = 1.5418 Å (Cu Kα). Input: a crystal structure in Alexandria, relaxed with PBE.

Principal peaks in the range 10 to 90 degrees two-theta, by intensity:
32.84°, d 2.727, I 100, (1 1 1)
32.24°, d 2.777, I 54, (2 0 -2)
46.21°, d 1.964, I 37, (1 1 -3)
47.16°, d 1.927, I 37, (3 1 -1)
27.11°, d 3.289, I 35, (1 1 -1)
44.38°, d 2.041, I 22, (0 2 0)

Structure:
abc: 6.5763 4.0821 6.7338
angles: 90.00 113.16 90.00
Space group P2/m (No. 10)
Inequivalent atoms, fractional coordinates:
Te  0.2268  0.0000  0.2188
Te  0.2463  0.5000  0.7585
As  0.5000  0.5000  0.5000
Pd  0.5000  0.0000  0.0000


2.
# ThAs2Pd7
Computed X-ray powder pattern, λ = 1.5418 Å (Cu Kα). Input: a crystal structure in Alexandria, relaxed with PBE.

Principal peaks in the range 10 to 90 degrees two-theta, by intensity:
40.44°, d 2.230, I 100, (1 1 6)
42.77°, d 2.114, I 55, (2 0 0)
34.92°, d 2.569, I 31, (1 1 4)
76.74°, d 1.242, I 30, (3 1 6)
24.90°, d 3.576, I 25, (1 0 3)
31.21°, d 2.866, I 24, (1 1 2)

Structure:
abc: 4.2288 4.2288 20.0893
angles: 90.00 90.00 90.00
Space group I4/mmm (No. 139)
Inequivalent atoms, fractional coordinates:
Th  0.0000  0.0000  0.0000
As  0.0000  0.0000  0.3224
Pd  0.0000  0.0000  0.5000
Pd  0.0000  0.5000  0.1041
Pd  0.0000  0.5000  0.2500